Theoretical powder diffractogram of K2PbO3 for Cu Kα X-rays, from a cell relaxed with GGA-PBE.
Peak positions follow from Bragg's law for the DFT cell and can differ from measured ones.

Crystal structure
abc: 6.472 6.472 6.103
angles: 90.00 90.00 66.40
Atoms (fractional coordinates):
K1 0.023 0.303 0.000
K2 0.303 0.023 0.500
K3 0.697 0.977 0.000
K4 0.977 0.697 0.500
Pb1 0.401 0.599 0.037
Pb2 0.599 0.401 0.537
O1 0.123 0.877 0.134
O2 0.336 0.398 0.774
O3 0.398 0.336 0.274
O4 0.602 0.664 0.774
O5 0.664 0.602 0.274
O6 0.877 0.123 0.634

Largest 10 diffraction maxima, by angle, 5° ≤ 2θ ≤ 70°:
14.94°, intensity 100
16.37°, intensity 60
20.89°, intensity 39
27.73°, intensity 35
29.14°, intensity 66
29.27°, intensity 30
31.43°, intensity 58
33.60°, intensity 28
40.76°, intensity 44
48.40°, intensity 29

Theoretical powder diffractogram of Er2S2F for Cu Kα X-rays, from a cell relaxed with GGA-PBE.
Peak positions follow from Bragg's law for the DFT cell and can differ from measured ones.

Crystal structure
abc: 3.583 3.583 11.153
angles: 90.00 90.00 90.00
Atoms (fractional coordinates):
Er1 0.000 0.000 0.190
Er2 0.000 0.000 0.810
S1 0.000 0.000 0.412
S2 0.000 0.000 0.588
F1 0.000 0.000 0.000

Largest 10 diffraction maxima, by angle, 5° ≤ 2θ ≤ 70°:
7.93°, intensity 21
15.89°, intensity 28
23.94°, intensity 23
24.85°, intensity 100
29.64°, intensity 26
34.77°, intensity 35
35.43°, intensity 39
43.21°, intensity 20
48.05°, intensity 29
54.83°, intensity 20

Theoretical powder diffractogram of Na2YCuF6 for Cu Kα X-rays, from a cell relaxed with GGA-PBE.
Peak positions follow from Bragg's law for the DFT cell and can differ from measured ones.

Crystal structure
abc: 6.178 6.178 6.178
angles: 60.00 60.00 60.00
Atoms (fractional coordinates):
Na1 0.250 0.250 0.250
Na2 0.750 0.750 0.750
Y1 0.000 0.000 0.000
Cu1 0.500 0.500 0.500
F1 0.248 0.248 0.752
F2 0.248 0.752 0.248
F3 0.248 0.752 0.752
F4 0.752 0.248 0.248
F5 0.752 0.248 0.752
F6 0.752 0.752 0.248

Largest 10 diffraction maxima, by angle, 5° ≤ 2θ ≤ 70°:
17.58°, intensity 5
20.33°, intensity 99
28.90°, intensity 100
34.03°, intensity 2
41.33°, intensity 68
46.48°, intensity 41
51.22°, intensity 40
59.88°, intensity 40
63.93°, intensity 18
67.84°, intensity 17

Theoretical powder diffractogram of RbLuS2O9 for Cu Kα X-rays, from a cell relaxed with GGA-PBE.
Peak positions follow from Bragg's law for the DFT cell and can differ from measured ones.

Crystal structure
abc: 10.077 8.492 10.289
angles: 90.00 117.58 90.00
Atoms (fractional coordinates):
Rb1 0.219 0.166 0.182
Rb2 0.219 0.334 0.682
Rb3 0.781 0.666 0.318
Rb4 0.781 0.834 0.818
Lu1 0.248 0.629 0.030
Lu2 0.248 0.871 0.530
Lu3 0.752 0.129 0.470
Lu4 0.752 0.371 0.970
S1 0.061 0.631 0.184
S2 0.061 0.869 0.684
S3 0.488 0.696 0.890
S4 0.488 0.804 0.390
S5 0.512 0.196 0.610
S6 0.512 0.304 0.110
S7 0.939 0.131 0.316
S8 0.939 0.369 0.816
O1 0.068 0.749 0.578
O2 0.068 0.751 0.078
O3 0.087 0.707 0.323
O4 0.087 0.793 0.823
O5 0.091 0.059 0.381
O6 0.091 0.441 0.881
O7 0.176 0.512 0.200
O8 0.176 0.988 0.700
O9 0.342 0.624 0.562
O10 0.342 0.876 0.062
O11 0.357 0.606 0.881
O12 0.357 0.894 0.381
O13 0.397 0.088 0.612
O14 0.397 0.412 0.112
O15 0.437 0.701 0.256
O16 0.437 0.799 0.756
O17 0.446 0.206 0.976
O18 0.446 0.294 0.476
O19 0.554 0.706 0.524
O20 0.554 0.794 0.024
O21 0.563 0.201 0.244
O22 0.563 0.299 0.744
O23 0.603 0.588 0.888
O24 0.603 0.912 0.388
O25 0.643 0.106 0.619
O26 0.643 0.394 0.119
O27 0.658 0.124 0.938
O28 0.658 0.376 0.438
O29 0.824 0.012 0.300
O30 0.824 0.488 0.800
O31 0.909 0.559 0.119
O32 0.909 0.941 0.619
O33 0.913 0.207 0.177
O34 0.913 0.293 0.677
O35 0.932 0.249 0.922
O36 0.932 0.251 0.422

Largest 10 diffraction maxima, by angle, 5° ≤ 2θ ≤ 70°:
14.25°, intensity 100
14.39°, intensity 43
19.88°, intensity 28
23.11°, intensity 25
25.72°, intensity 24
26.96°, intensity 87
27.82°, intensity 44
28.79°, intensity 26
29.15°, intensity 67
41.85°, intensity 35